Calculated powder diffraction line list of TlZnAgSb for Cu Kα (λ = 1.5418 Å), from a crystal structure in Alexandria, relaxed with GGA-PBE.
Neutral-atom scattering factors, no anomalous dispersion.

Crystal structure
Unit cell a=5.098 b=5.098 c=5.098 alpha=60.00 beta=60.00 gamma=60.00
Fractional coordinates of all 4 atoms:
Tl (0.000, 0.000, 0.000)
Zn (0.750, 0.750, 0.750)
Ag (0.250, 0.250, 0.250)
Sb (0.500, 0.500, 0.500)

The 12 most intense peaks (10 to 80 degrees two-theta), in order of falling intensity:
d_spacing	I (rel.)
2.549	100.0
1.472	35.7
1.802	17.6
1.275	11.0
3.605	8.8
4.163	6.9
1.612	4.0
2.174	4.0
2.081	2.8
1.202	2.0
1.654	1.8
1.219	1.4


Calculated powder diffraction line list of Tm8Ag2Sb for Cu Kα (λ = 1.5418 Å), from a crystal structure in Alexandria, relaxed with GGA-PBE.
Neutral-atom scattering factors, no anomalous dispersion.

Crystal structure
Unit cell a=8.100 b=8.100 c=5.461 alpha=99.56 beta=99.56 gamma=115.70
Fractional coordinates of all 11 atoms:
Tm (0.089, 0.326, 0.608)
Tm (0.234, 0.766, 0.000)
Tm (0.326, 0.089, 0.608)
Tm (0.396, 0.396, 0.198)
Tm (0.604, 0.604, 0.802)
Tm (0.674, 0.911, 0.392)
Tm (0.766, 0.234, 0.000)
Tm (0.911, 0.674, 0.392)
Ag (0.304, 0.696, 0.500)
Ag (0.696, 0.304, 0.500)
Sb (0.000, 0.000, 0.000)

The 12 most intense peaks (10 to 80 degrees two-theta), in order of falling intensity:
d_spacing	I (rel.)
2.423	100.0
2.629	83.7
2.861	82.6
2.746	81.3
2.815	58.9
2.678	57.5
2.954	33.5
1.464	24.8
1.679	21.8
1.964	21.2
1.685	20.2
2.344	19.7